1.
# K2CaH2Br2
Simulated powder XRD pattern, Cu Kα. Input: a DFT-relaxed cell (PBE, Alexandria).
Peak positions follow from Bragg's law for the DFT cell and can differ from measured ones.

Structural model:
abc: 4.610 4.610 17.251
angles: 90.00 90.00 90.00
Space group I4/mmm (No. 139)
Unique sites:
K1 0.000 0.000 0.133 x4
Ca1 0.000 0.000 0.500 x2
H1 0.000 0.500 0.000 x4
Br1 0.000 0.000 0.333 x4

Most intense lines, 15 to 90 degrees two-theta, in order of rising 2θ:
- 2θ 19.94, intensity 25, hkl 1 0 1
- 2θ 20.59, intensity 16, hkl 0 0 4
- 2θ 27.36, intensity 100, hkl 1 1 0
- 2θ 31.11, intensity 24, hkl 0 0 6
- 2θ 32.41, intensity 44, hkl 1 0 5
- 2θ 34.49, intensity 19, hkl 1 1 4
- 2θ 39.08, intensity 38, hkl 2 0 0
- 2θ 41.90, intensity 39, hkl 1 1 6
- 2θ 50.77, intensity 23, hkl 2 0 6
- 2θ 51.65, intensity 31, hkl 2 1 5


2.
# Y2NiIr
Simulated powder XRD pattern, Cu Kα. Input: a DFT-relaxed cell (PBE, Alexandria).
Peak positions follow from Bragg's law for the DFT cell and can differ from measured ones.

Structural model:
abc: 3.605 4.203 11.218
angles: 90.00 90.00 90.00
Space group Imm2 (No. 44)
Unique sites:
Y1 0.000 0.000 0.000 x2
Y2 0.000 0.500 0.226 x2
Ni1 0.000 0.000 0.450 x2
Ir1 0.000 0.500 0.795 x2

Most intense lines, 15 to 90 degrees two-theta, in order of rising 2θ:
- 2θ 15.80, intensity 29, hkl 0 0 2
- 2θ 22.59, intensity 15, hkl 0 1 1
- 2θ 31.91, intensity 18, hkl 0 0 4
- 2θ 32.04, intensity 25, hkl 0 1 3
- 2θ 36.54, intensity 100, hkl 1 1 2
- 2θ 43.04, intensity 19, hkl 0 2 0
- 2θ 47.75, intensity 19, hkl 1 0 5
- 2θ 50.65, intensity 12, hkl 2 0 0
- 2θ 61.17, intensity 13, hkl 2 0 4
- 2θ 66.22, intensity 14, hkl 1 2 5


3.
# Sr8LiCa4
Simulated powder XRD pattern, Cu Kα. Input: a DFT-relaxed cell (PBE, Alexandria).
Peak positions follow from Bragg's law for the DFT cell and can differ from measured ones.

Structural model:
abc: 11.286 6.461 17.454
angles: 90.00 101.95 90.00
Space group C2/m (No. 12)
Unique sites:
Sr1 0.039 0.000 0.114 x4
Sr2 0.071 0.500 0.719 x4
Sr3 0.188 0.000 0.568 x4
Sr4 0.233 0.500 0.192 x4
Li1 0.000 0.500 0.500 x2
Ca1 0.115 0.000 0.340 x4
Ca2 0.153 0.500 0.961 x4

Most intense lines, 15 to 90 degrees two-theta, in order of rising 2θ:
- 2θ 27.44, intensity 69, hkl 3 1 -1
- 2θ 27.61, intensity 100, hkl 0 2 0
- 2θ 27.73, intensity 33, hkl 2 0 -5
- 2θ 39.11, intensity 13, hkl 4 0 3
- 2θ 39.53, intensity 25, hkl 2 2 -5
- 2θ 48.54, intensity 13, hkl 4 2 3
- 2θ 48.74, intensity 27, hkl 3 3 -1
- 2θ 48.83, intensity 19, hkl 1 3 4
- 2θ 49.07, intensity 12, hkl 1 1 -9
- 2θ 78.28, intensity 12, hkl 3 5 -1


4.
# Dy6In3Ag
Simulated powder XRD pattern, Cu Kα. Input: a DFT-relaxed cell (PBE, Alexandria).
Peak positions follow from Bragg's law for the DFT cell and can differ from measured ones.

Structural model:
abc: 9.274 5.305 11.628
angles: 90.00 108.61 90.00
Space group P2_1/m (No. 11)
Unique sites:
Dy1 0.040 0.250 0.415 x2
Dy2 0.169 0.750 0.172 x2
Dy3 0.261 0.250 0.004 x2
Dy4 0.345 0.750 0.809 x2
Dy5 0.364 0.250 0.338 x2
Dy6 0.405 0.250 0.628 x2
In1 0.027 0.750 0.879 x2
In2 0.119 0.250 0.717 x2
In3 0.276 0.750 0.473 x2
Ag1 0.459 0.750 0.099 x2

Most intense lines, 15 to 90 degrees two-theta, in order of rising 2θ:
- 2θ 32.38, intensity 24, hkl 2 0 -4
- 2θ 33.59, intensity 58, hkl 3 1 -1
- 2θ 33.81, intensity 100, hkl 0 2 0
- 2θ 36.65, intensity 12, hkl 2 1 -4
- 2θ 47.51, intensity 17, hkl 2 2 -4
- 2θ 49.31, intensity 10, hkl 4 0 2
- 2θ 60.32, intensity 11, hkl 3 3 -1
- 2θ 60.48, intensity 16, hkl 1 3 3
- 2θ 61.12, intensity 10, hkl 4 2 2
- 2θ 71.12, intensity 9, hkl 0 4 0


5.
# Mg8CdIn3
Simulated powder XRD pattern, Cu Kα. Input: a DFT-relaxed cell (PBE, Alexandria).
Peak positions follow from Bragg's law for the DFT cell and can differ from measured ones.

Structural model:
abc: 6.605 10.444 8.879
angles: 90.00 111.73 90.00
Space group C2/m (No. 12)
Unique sites:
Mg1 0.093 0.247 0.186 x8
Mg2 0.094 0.000 0.692 x4
Mg3 0.099 0.500 0.692 x4
Cd1 0.000 0.000 0.000 x2
In1 0.000 0.250 0.500 x4
In2 0.000 0.500 0.000 x2

Most intense lines, 15 to 90 degrees two-theta, in order of rising 2θ:
- 2θ 20.13, intensity 100, hkl 0 2 1
- 2θ 21.55, intensity 28, hkl 0 0 2
- 2θ 29.13, intensity 79, hkl 2 0 -2
- 2θ 34.35, intensity 39, hkl 0 4 0
- 2θ 36.95, intensity 61, hkl 0 2 3
- 2θ 38.96, intensity 92, hkl 2 2 1
- 2θ 45.64, intensity 45, hkl 2 4 -2
- 2θ 55.40, intensity 18, hkl 2 2 -5
- 2θ 64.61, intensity 20, hkl 2 6 1
- 2θ 73.75, intensity 15, hkl 2 4 4


6.
# LiZnCu5
Simulated powder XRD pattern, Cu Kα. Input: a DFT-relaxed cell (PBE, Alexandria).
Peak positions follow from Bragg's law for the DFT cell and can differ from measured ones.

Structural model:
abc: 5.023 7.462 5.030
angles: 90.00 90.00 90.00
Space group Cmmm (No. 65)
Unique sites:
Li1 0.000 0.000 0.000 x2
Zn1 0.000 0.500 0.500 x2
Cu1 0.000 0.500 0.000 x2
Cu2 0.250 0.250 0.252 x8

Most intense lines, 15 to 90 degrees two-theta, in order of rising 2θ:
- 2θ 21.32, intensity 34, hkl 1 1 0
- 2θ 23.85, intensity 12, hkl 0 2 0
- 2θ 35.72, intensity 8, hkl 2 0 0
- 2θ 40.47, intensity 6, hkl 1 3 0
- 2θ 41.96, intensity 11, hkl 1 1 2
- 2θ 43.41, intensity 100, hkl 2 2 0
- 2θ 48.82, intensity 17, hkl 0 4 0
- 2θ 51.42, intensity 30, hkl 2 0 2
- 2θ 73.61, intensity 18, hkl 2 4 2
- 2θ 87.51, intensity 12, hkl 2 6 0


7.
# Nd4TmS5
Simulated powder XRD pattern, Cu Kα. Input: a DFT-relaxed cell (PBE, Alexandria).
Peak positions follow from Bragg's law for the DFT cell and can differ from measured ones.

Structural model:
abc: 4.025 4.025 28.542
angles: 90.00 90.00 90.00
Space group I4/mmm (No. 139)
Unique sites:
Nd1 0.000 0.000 0.101 x4
Nd2 0.000 0.000 0.304 x4
Tm1 0.000 0.000 0.500 x2
S1 0.000 0.000 0.000 x2
S2 0.000 0.000 0.202 x4
S3 0.000 0.000 0.405 x4

Most intense lines, 15 to 90 degrees two-theta, in order of rising 2θ:
- 2θ 27.11, intensity 77, hkl 1 0 5
- 2θ 31.40, intensity 100, hkl 1 1 0
- 2θ 45.00, intensity 72, hkl 2 0 0
- 2θ 53.25, intensity 12, hkl 1 0 15
- 2θ 53.37, intensity 25, hkl 2 1 5
- 2θ 55.90, intensity 25, hkl 2 0 10
- 2θ 72.25, intensity 10, hkl 2 1 15
- 2θ 74.36, intensity 10, hkl 1 1 20
- 2θ 74.54, intensity 21, hkl 3 1 0
- 2θ 83.09, intensity 16, hkl 3 1 10


8.
# NdAg2Sb2
Simulated powder XRD pattern, Cu Kα. Input: a DFT-relaxed cell (PBE, Alexandria).
Peak positions follow from Bragg's law for the DFT cell and can differ from measured ones.

Structural model:
abc: 4.442 24.846 4.415
angles: 90.00 90.00 90.00
Space group Cmcm (No. 63)
Unique sites:
Nd1 0.000 0.150 0.250 x4
Ag1 0.000 0.039 0.750 x4
Ag2 0.000 0.462 0.750 x4
Sb1 0.000 0.250 0.750 x4
Sb2 0.000 0.387 0.250 x4

Most intense lines, 15 to 90 degrees two-theta, in order of rising 2θ:
- 2θ 30.52, intensity 7, hkl 1 3 1
- 2θ 33.84, intensity 100, hkl 1 5 1
- 2θ 35.33, intensity 7, hkl 0 8 1
- 2θ 36.15, intensity 9, hkl 0 10 0
- 2θ 38.36, intensity 13, hkl 1 9 0
- 2θ 40.63, intensity 20, hkl 2 0 0
- 2θ 40.88, intensity 20, hkl 0 0 2
- 2θ 59.00, intensity 13, hkl 2 0 2
- 2θ 69.60, intensity 12, hkl 3 5 1
- 2θ 69.95, intensity 12, hkl 1 5 3


9.
# Pm6Tl2Co
Simulated powder XRD pattern, Cu Kα. Input: a DFT-relaxed cell (PBE, Alexandria).
Peak positions follow from Bragg's law for the DFT cell and can differ from measured ones.

Structural model:
abc: 3.806 15.455 8.927
angles: 90.00 90.00 90.00
Space group Amm2 (No. 38)
Unique sites:
Pm1 0.000 0.000 0.000 x2
Pm2 0.000 0.116 0.652 x4
Pm3 0.500 0.000 0.366 x2
Pm4 0.500 0.201 0.969 x4
Tl1 0.000 0.167 0.268 x4
Co1 0.500 0.000 0.769 x2

Most intense lines, 15 to 90 degrees two-theta, in order of rising 2θ:
- 2θ 30.60, intensity 78, hkl 0 5 1
- 2θ 30.88, intensity 100, hkl 1 0 2
- 2θ 33.03, intensity 70, hkl 1 2 2
- 2θ 34.82, intensity 40, hkl 0 3 3
- 2θ 38.86, intensity 39, hkl 1 5 1
- 2θ 47.79, intensity 18, hkl 2 0 0
- 2θ 48.75, intensity 17, hkl 1 7 1
- 2θ 57.32, intensity 30, hkl 1 1 5
- 2θ 57.82, intensity 26, hkl 2 5 1
- 2θ 59.99, intensity 27, hkl 1 6 4


10.
# Tc3RuS
Simulated powder XRD pattern, Cu Kα. Input: a DFT-relaxed cell (PBE, Alexandria).
Peak positions follow from Bragg's law for the DFT cell and can differ from measured ones.

Structural model:
abc: 4.676 4.676 4.676
angles: 90.00 90.00 90.00
Space group Pm-3m (No. 221)
Unique sites:
Tc1 0.000 0.000 0.500 x3
Ru1 0.000 0.000 0.000 x1
S1 0.500 0.500 0.500 x1

Most intense lines, 15 to 90 degrees two-theta, in order of rising 2θ:
- 2θ 18.98, intensity 92, hkl 1 0 0
- 2θ 33.19, intensity 57, hkl 1 1 1
- 2θ 38.51, intensity 100, hkl 2 0 0
- 2θ 43.27, intensity 44, hkl 2 1 0
- 2θ 55.60, intensity 67, hkl 2 2 0
- 2θ 59.29, intensity 22, hkl 3 0 0
- 2θ 66.30, intensity 21, hkl 3 1 1
- 2θ 69.66, intensity 22, hkl 2 2 2
- 2θ 82.53, intensity 10, hkl 4 0 0
- 2θ 85.66, intensity 12, hkl 4 1 0


11.
# B6SN6
Simulated powder XRD pattern, Cu Kα. Input: a DFT-relaxed cell (PBE, Alexandria).
Peak positions follow from Bragg's law for the DFT cell and can differ from measured ones.

Structural model:
abc: 4.573 4.573 4.573
angles: 90.00 90.00 90.00
Space group Pm-3 (No. 200)
Unique sites:
B1 0.000 0.246 0.500 x6
S1 0.000 0.000 0.000 x1
N1 0.000 0.500 0.254 x6

Most intense lines, 15 to 90 degrees two-theta, in order of rising 2θ:
- 2θ 19.41, intensity 78, hkl 1 0 0
- 2θ 27.59, intensity 9, hkl 1 1 0
- 2θ 33.96, intensity 23, hkl 1 1 1
- 2θ 39.41, intensity 54, hkl 2 0 0
- 2θ 44.29, intensity 39, hkl 2 0 1
- 2θ 48.78, intensity 100, hkl 2 1 1
- 2θ 60.76, intensity 13, hkl 3 0 0
- 2θ 71.47, intensity 10, hkl 2 2 2
- 2θ 78.22, intensity 41, hkl 3 1 2
- 2θ 84.81, intensity 17, hkl 4 0 0


12.
# Ho12Tm7Hf
Simulated powder XRD pattern, Cu Kα. Input: a DFT-relaxed cell (PBE, Alexandria).
Peak positions follow from Bragg's law for the DFT cell and can differ from measured ones.

Structural model:
abc: 12.5651 12.5651 13.6042
angles: 90.00 90.00 120.00
Space group R-3 (No. 148, hexagonal axes)
Unique sites:
Ho1 0.0013 0.4361 0.2473 x18
Ho2 0.0666 0.1981 0.3442 x18
Tm1 0.0000 0.0000 0.5000 x3
Tm2 0.0671 0.8695 0.8549 x18
Hf1 0.0000 0.0000 0.0000 x3

Most intense lines, 15 to 90 degrees two-theta, in order of rising 2θ:
- 2θ 27.48, intensity 20, hkl 1 0 4
- 2θ 30.34, intensity 61, hkl 1 3 1
- 2θ 31.01, intensity 40, hkl 0 2 4
- 2θ 32.45, intensity 100, hkl 4 -1 2
- 2θ 39.72, intensity 19, hkl 1 2 5
- 2θ 39.94, intensity 16, hkl 1 3 4
- 2θ 43.00, intensity 18, hkl 5 -1 3
- 2θ 52.52, intensity 15, hkl 5 2 0
- 2θ 56.58, intensity 15, hkl 2 5 3
- 2θ 66.11, intensity 13, hkl 7 0 4


13.
# Tb5Y12Sc
Simulated powder XRD pattern, Cu Kα. Input: a DFT-relaxed cell (PBE, Alexandria).
Peak positions follow from Bragg's law for the DFT cell and can differ from measured ones.

Structural model:
abc: 15.055 15.084 5.024
angles: 90.00 90.00 90.00
Space group Cmmm (No. 65)
Unique sites:
Tb1 0.000 0.000 0.000 x2
Tb2 0.000 0.167 0.500 x4
Tb3 0.000 0.335 0.000 x4
Y1 0.163 0.500 0.000 x4
Y2 0.164 0.335 0.500 x8
Y3 0.166 0.000 0.500 x4
Y4 0.166 0.167 0.000 x8
Sc1 0.000 0.500 0.500 x2

Most intense lines, 15 to 90 degrees two-theta, in order of rising 2θ:
- 2θ 25.76, intensity 4, hkl 1 3 1
- 2θ 30.83, intensity 100, hkl 3 3 1
- 2θ 35.75, intensity 50, hkl 0 6 0
- 2θ 51.45, intensity 35, hkl 6 0 2
- 2θ 61.19, intensity 41, hkl 3 3 3
- 2θ 64.23, intensity 12, hkl 6 6 2
- 2θ 75.69, intensity 4, hkl 0 0 4
- 2θ 83.97, intensity 17, hkl 3 9 3
- 2θ 86.64, intensity 10, hkl 6 0 4
- 2θ 86.75, intensity 5, hkl 12 6 0